Calculated XRD peak list
Compound: V3Zn2FeO11
Radiation: Cu Kα (λ = 1.5418 Å)
Structure: a cell relaxed with GGA+U

Crystal structure
Lattice parameters (Å, degrees): 6.5788 6.9237 10.0855 97.76 102.34 101.35
Space group P-1 (No. 2)
Asymmetric unit:
1 V 0.1734 0.4857 0.2892 x2
2 V 0.1950 0.0733 0.6177 x2
3 V 0.2482 0.1743 0.9716 x2
4 Zn 0.2820 0.0060 0.2793 x2
5 Zn 0.3247 0.6220 0.6632 x2
6 Fe 0.1920 0.6758 0.0041 x2
7 O 0.1087 0.6262 0.7878 x2
8 O 0.1173 0.0071 0.4249 x2
9 O 0.1252 0.3765 0.0122 x2
10 O 0.1363 0.0720 0.8016 x2
11 O 0.1964 0.5693 0.4567 x2
12 O 0.2163 0.9715 0.0604 x2
13 O 0.2411 0.7004 0.2152 x2
14 O 0.3097 0.3165 0.6465 x2
15 O 0.3447 0.3173 0.2768 x2
16 O 0.3896 0.9350 0.6552 x2
17 O 0.4892 0.7180 0.0042 x2

Main lines, in order of falling intensity (2θ = 10–90°):
28.57 deg, I = 100.0, hkl 2 0 0; 27.64 deg, I = 76.6, hkl 0 0 3; 26.61 deg, I = 54.2, hkl 0 2 -1; 27.21 deg, I = 44.4, hkl 1 -2 0; 53.09 deg, I = 35.8, hkl 1 -4 1; 27.80 deg, I = 25.6, hkl 1 0 -3

Calculated XRD peak list
Compound: V6Zn3Fe4O24
Radiation: Cu Kα (λ = 1.5418 Å)
Structure: a cell relaxed with GGA+U

Crystal structure
Lattice parameters (Å, degrees): 6.7678 8.1426 9.9466 105.48 104.98 102.29
Space group P-1 (No. 2)
Asymmetric unit:
1 V 0.0953 0.2729 0.1279 x2
2 V 0.2775 0.3407 0.7291 x2
3 V 0.3953 0.9020 0.6662 x2
4 Zn 0.2150 0.7083 0.2037 x2
5 Zn 0.5000 0.5000 0.5000 x1
6 Fe 0.1200 0.0486 0.3924 x2
7 Fe 0.4575 0.7909 0.9849 x2
8 O 0.0270 0.2237 0.7292 x2
9 O 0.0574 0.1365 0.2314 x2
10 O 0.1537 0.7462 0.0045 x2
11 O 0.1675 0.9596 0.5741 x2
12 O 0.2205 0.4900 0.2528 x2
13 O 0.2642 0.2165 0.0336 x2
14 O 0.2862 0.3015 0.5450 x2
15 O 0.3198 0.5597 0.8167 x2
16 O 0.3698 0.9732 0.3482 x2
17 O 0.3756 0.6875 0.5841 x2
18 O 0.4259 0.9438 0.8561 x2
19 O 0.4829 0.2773 0.8331 x2

Main lines, in order of falling intensity (2θ = 10–90°):
28.79 deg, I = 100.0, hkl 0 2 1; 27.94 deg, I = 93.6, hkl 0 1 -3; 26.96 deg, I = 41.9, hkl 2 0 -1; 18.76 deg, I = 24.5, hkl 1 -1 1; 28.75 deg, I = 24.1, hkl 1 -2 2; 17.98 deg, I = 22.9, hkl -1 1 1

Calculated XRD peak list
Compound: V3ZnFe2O11
Radiation: Cu Kα (λ = 1.5418 Å)
Structure: a cell relaxed with GGA+U

Crystal structure
Lattice parameters (Å, degrees): 6.5164 6.9258 10.3536 96.92 103.37 101.26
Space group P-1 (No. 2)
Asymmetric unit:
1 V 0.1749 0.4897 0.3010 x2
2 V 0.1887 0.0734 0.6251 x2
3 V 0.2392 0.1734 0.9706 x2
4 Zn 0.1986 0.6725 0.0094 x2
5 Fe 0.2607 0.0061 0.2726 x2
6 Fe 0.3256 0.6197 0.6603 x2
7 O 0.1088 0.6210 0.7620 x2
8 O 0.1158 0.0720 0.7962 x2
9 O 0.1234 0.3685 0.0238 x2
10 O 0.1248 0.0137 0.4340 x2
11 O 0.2109 0.5709 0.4699 x2
12 O 0.2206 0.9821 0.0668 x2
13 O 0.2389 0.6983 0.2323 x2
14 O 0.3065 0.3195 0.6519 x2
15 O 0.3577 0.3273 0.2903 x2
16 O 0.3815 0.9261 0.6607 x2
17 O 0.4965 0.7188 0.0039 x2

Main lines, in order of falling intensity (2θ = 10–90°):
26.98 deg, I = 100.0, hkl 0 0 3; 28.95 deg, I = 74.4, hkl 2 0 0; 26.61 deg, I = 57.0, hkl 0 2 -1; 27.24 deg, I = 48.4, hkl 1 -2 0; 53.16 deg, I = 29.1, hkl 1 -4 1; 28.70 deg, I = 20.8, hkl -2 1 1

Calculated XRD peak list
Compound: FeWO4
Radiation: Cu Kα (λ = 1.5418 Å)
Structure: a cell relaxed with GGA+U

Crystal structure
Lattice parameters (Å, degrees): 4.8203 5.7695 5.1153 90.00 90.86 90.00
Space group P2/c (No. 13)
Asymmetric unit:
1 Fe 0.0000 0.1660 0.2500 x2
2 W 0.5000 0.3272 0.7500 x2
3 O 0.2445 0.1265 0.6069 x4
4 O 0.2888 0.3900 0.0668 x4

Main lines, in order of falling intensity (2θ = 10–90°):
29.64 deg, I = 100.0, hkl 1 1 -1; 29.98 deg, I = 97.5, hkl 1 1 1; 18.41 deg, I = 58.6, hkl 1 0 0; 24.06 deg, I = 57.9, hkl 1 1 0; 23.24 deg, I = 54.7, hkl 0 1 1; 35.73 deg, I = 39.0, hkl 0 2 1

Calculated XRD peak list
Compound: Fe2W3O12
Radiation: Cu Kα (λ = 1.5418 Å)
Structure: a cell relaxed with GGA+U

Crystal structure
Lattice parameters (Å, degrees): 6.9859 8.7029 10.4041 108.21 103.57 103.98
Space group P-1 (No. 2)
Asymmetric unit:
1 Fe 0.0479 0.2042 0.0154 x2
2 Fe 0.3763 0.9591 0.6081 x2
3 W 0.1169 0.0975 0.3345 x2
4 W 0.2112 0.6695 0.2618 x2
5 W 0.4025 0.7424 0.8667 x2
6 O 0.0241 0.7441 0.1631 x2
7 O 0.0681 0.0556 0.1397 x2
8 O 0.1216 0.9972 0.6358 x2
9 O 0.1610 0.4420 0.1674 x2
10 O 0.1804 0.3186 0.4159 x2
11 O 0.2250 0.7256 0.4480 x2
12 O 0.2341 0.8069 0.9696 x2
13 O 0.2792 0.5233 0.7558 x2
14 O 0.3346 0.2218 0.0171 x2
15 O 0.3398 0.0403 0.4280 x2
16 O 0.4320 0.8666 0.7535 x2
17 O 0.4659 0.7876 0.2668 x2

Main lines, in order of falling intensity (2θ = 10–90°):
26.30 deg, I = 100.0, hkl 2 0 -1; 26.45 deg, I = 65.9, hkl 0 1 -3; 28.13 deg, I = 63.2, hkl 0 2 1; 21.16 deg, I = 59.5, hkl 1 1 -2; 26.56 deg, I = 52.1, hkl 1 -2 2; 32.29 deg, I = 48.7, hkl 0 3 -2